Starting from a cell relaxed with GGA-PBE, the powder X-ray diffraction pattern of RbAgSe5 was calculated for Cu Kα (weighted mean of Kα1 and Kα2).

Peak list (6 most intense, 2θ from 10° to 90°, most intense first)
| two_theta | I_rel | hkl |
| --- | --- | --- |
| 14.58 | 100 | 1 1 0 |
| 25.97 | 63 | 1 2 2 |
| 25.68 | 45 | 1 2 -1 |
| 29.40 | 45 | 2 2 0 |
| 29.02 | 40 | 1 1 3 |
| 28.58 | 31 | 1 1 -2 |

Cell and atoms:
a b c (Å): 7.0178 8.7443 9.4546
angles (deg): 81.92 69.32 66.55
Space group P-1 (No. 2)
One atom of each set of equivalent atoms:
Rb (0.0903, 0.3197, 0.2503) [2 per cell]
Ag (0.5000, 0.5000, 0.0000) [1 per cell]
Ag (0.5000, 0.5000, 0.5000) [1 per cell]
Se (0.0048, 0.0465, 0.6182) [2 per cell]
Se (0.2800, 0.7516, 0.8846) [2 per cell]
Se (0.3647, 0.7701, 0.2502) [2 per cell]
Se (0.4493, 0.0454, 0.8817) [2 per cell]
Se (0.4666, 0.7524, 0.6164) [2 per cell]


Starting from a cell relaxed with GGA-PBE, the powder X-ray diffraction pattern of GeI was calculated for Cu Kα (weighted mean of Kα1 and Kα2).

Peak list (6 most intense, 2θ from 10° to 90°, most intense first)
| two_theta | I_rel | hkl |
| --- | --- | --- |
| 13.41 | 100 | 1 1 0 |
| 36.00 | 81 | 3 2 1 |
| 41.02 | 76 | 4 1 1 |
| 19.01 | 55 | 2 0 0 |
| 27.02 | 48 | 2 2 0 |
| 61.21 | 40 | 6 1 1 |

Cell and atoms:
a b c (Å): 9.3350 9.3350 9.3350
angles (deg): 90.00 90.00 90.00
Space group I-43m (No. 217)
One atom of each set of equivalent atoms:
Ge (0.1078, 0.1078, 0.1078) [8 per cell]
I (0.2028, 0.2028, 0.7972) [8 per cell]